Diffraction record for HfGa2Ag. The XRD peak list is calculated, not measured: it uses a PBE-relaxed structure and Cu Kα (λ = 1.5418 Å).
No peak broadening, texture or thermal motion is included.

Top 10 peaks for 10 to 90 degrees two-theta, sorted by position:
| Position (°2θ) | Rel. int. |
| --- | --- |
| 22.28 | 10 |
| 30.05 | 10 |
| 37.72 | 100 |
| 43.01 | 34 |
| 45.46 | 15 |
| 62.46 | 11 |
| 64.37 | 20 |
| 75.32 | 25 |
| 78.83 | 11 |
| 80.57 | 11 |

Unit cell a=4.2058 b=4.2058 c=3.9905 alpha=90.00 beta=90.00 gamma=90.00
Element x y z (fractional)
Hf  0.0000  0.0000  0.0000
Ga  0.0000  0.5000  0.5000
Ga  0.5000  0.0000  0.5000
Ag  0.5000  0.5000  0.0000

---

Diffraction record for LiTa3O8. The XRD peak list is calculated, not measured: it uses a PBE-relaxed structure and Cu Kα (λ = 1.5418 Å).
No peak broadening, texture or thermal motion is included.

Top 10 peaks for 10 to 90 degrees two-theta, sorted by position:
| Position (°2θ) | Rel. int. |
| --- | --- |
| 21.00 | 29 |
| 21.29 | 32 |
| 24.07 | 61 |
| 29.62 | 100 |
| 30.04 | 94 |
| 35.16 | 33 |
| 35.31 | 46 |
| 50.47 | 32 |
| 52.91 | 24 |
| 63.21 | 32 |

Unit cell a=7.5557 b=7.5557 c=5.1059 alpha=90.67 beta=90.67 gamma=101.78
Element x y z (fractional)
Li  0.1552  0.8448  0.7500
Li  0.8448  0.1552  0.2500
Ta  0.1556  0.3278  0.7446
Ta  0.3278  0.1556  0.2446
Ta  0.3299  0.6701  0.2500
Ta  0.6701  0.3299  0.7500
Ta  0.6722  0.8444  0.7554
Ta  0.8444  0.6722  0.2554
O  0.0794  0.6865  0.3914
O  0.0989  0.1956  0.0614
O  0.1956  0.0989  0.5614
O  0.2075  0.5604  0.9249
O  0.3026  0.4323  0.4171
O  0.3135  0.9206  0.1086
O  0.4323  0.3026  0.9171
O  0.4396  0.7925  0.5751
O  0.5604  0.2075  0.4249
O  0.5677  0.6974  0.0829
O  0.6865  0.0794  0.8914
O  0.6974  0.5677  0.5829
O  0.7925  0.4396  0.0751
O  0.8044  0.9011  0.4386
O  0.9011  0.8044  0.9386
O  0.9206  0.3135  0.6086

---

Diffraction record for Sr8CaCu4Re3O24. The XRD peak list is calculated, not measured: it uses a PBE-relaxed structure and Cu Kα (λ = 1.5418 Å).
No peak broadening, texture or thermal motion is included.

Top 10 peaks for 10 to 90 degrees two-theta, sorted by position:
| Position (°2θ) | Rel. int. |
| --- | --- |
| 19.03 | 18 |
| 22.00 | 7 |
| 24.64 | 6 |
| 31.32 | 100 |
| 36.90 | 8 |
| 44.88 | 32 |
| 55.74 | 35 |
| 65.34 | 17 |
| 74.24 | 13 |
| 82.77 | 5 |

Unit cell a=8.0789 b=8.0789 c=8.0789 alpha=90.00 beta=90.00 gamma=90.00
Element x y z (fractional)
Sr  0.2295  0.2295  0.2295
Sr  0.2295  0.2295  0.7705
Sr  0.2295  0.7705  0.2295
Sr  0.2295  0.7705  0.7705
Sr  0.7705  0.2295  0.2295
Sr  0.7705  0.2295  0.7705
Sr  0.7705  0.7705  0.2295
Sr  0.7705  0.7705  0.7705
Ca  0.5000  0.5000  0.5000
Cu  0.0000  0.0000  0.0000
Cu  0.0000  0.0000  0.5000
Cu  0.0000  0.5000  0.0000
Cu  0.5000  0.0000  0.0000
Re  0.0000  0.5000  0.5000
Re  0.5000  0.0000  0.5000
Re  0.5000  0.5000  0.0000
O  0.0000  0.0000  0.2536
O  0.0000  0.0000  0.7464
O  0.0000  0.2536  0.0000
O  0.0000  0.2634  0.5000
O  0.0000  0.5000  0.2634
O  0.0000  0.5000  0.7366
O  0.0000  0.7366  0.5000
O  0.0000  0.7464  0.0000
O  0.2300  0.5000  0.5000
O  0.2536  0.0000  0.0000
O  0.2634  0.0000  0.5000
O  0.2634  0.5000  0.0000
O  0.5000  0.0000  0.2634
O  0.5000  0.0000  0.7366
O  0.5000  0.2300  0.5000
O  0.5000  0.2634  0.0000
O  0.5000  0.5000  0.2300
O  0.5000  0.5000  0.7700
O  0.5000  0.7366  0.0000
O  0.5000  0.7700  0.5000
O  0.7366  0.0000  0.5000
O  0.7366  0.5000  0.0000
O  0.7464  0.0000  0.0000
O  0.7700  0.5000  0.5000

---

Diffraction record for PBrNF. The XRD peak list is calculated, not measured: it uses a PBE-relaxed structure and Cu Kα (λ = 1.5418 Å).
No peak broadening, texture or thermal motion is included.

Top 10 peaks for 10 to 90 degrees two-theta, sorted by position:
| Position (°2θ) | Rel. int. |
| --- | --- |
| 19.92 | 44 |
| 21.44 | 63 |
| 21.71 | 99 |
| 22.27 | 62 |
| 24.07 | 31 |
| 24.76 | 100 |
| 30.70 | 92 |
| 42.07 | 33 |
| 44.82 | 38 |
| 49.24 | 36 |

Unit cell a=8.3524 b=8.3524 c=8.2897 alpha=90.00 beta=90.00 gamma=78.55
Element x y z (fractional)
P  0.1655  0.8345  0.5000
P  0.1891  0.5968  0.2655
P  0.4032  0.8109  0.2655
P  0.5968  0.1891  0.7655
P  0.8109  0.4032  0.7655
P  0.8345  0.1655  0.0000
Br  0.2385  0.7615  0.7461
Br  0.2573  0.3384  0.3246
Br  0.3384  0.2573  0.8246
Br  0.6616  0.7427  0.3246
Br  0.7427  0.6616  0.8246
Br  0.7615  0.2385  0.2461
N  0.0914  0.6969  0.4106
N  0.3031  0.9086  0.4106
N  0.3389  0.6611  0.1876
N  0.6611  0.3389  0.6876
N  0.6969  0.0914  0.9106
N  0.9086  0.3031  0.9106
F  0.0196  0.9804  0.5356
F  0.0621  0.5898  0.1272
F  0.4102  0.9379  0.1272
F  0.5898  0.0621  0.6272
F  0.9379  0.4102  0.6272
F  0.9804  0.0196  0.0356

---

Diffraction record for Sr4Ta2O9. The XRD peak list is calculated, not measured: it uses a PBE-relaxed structure and Cu Kα (λ = 1.5418 Å).
No peak broadening, texture or thermal motion is included.

Top 10 peaks for 10 to 90 degrees two-theta, sorted by position:
| Position (°2θ) | Rel. int. |
| --- | --- |
| 11.17 | 26 |
| 18.09 | 42 |
| 28.42 | 75 |
| 30.02 | 100 |
| 37.81 | 14 |
| 41.81 | 37 |
| 45.95 | 24 |
| 52.32 | 28 |
| 53.31 | 27 |
| 62.40 | 15 |

Unit cell a=5.9494 b=5.9544 c=15.8413 alpha=89.95 beta=89.97 gamma=60.04
Element x y z (fractional)
Sr  0.0000  0.0000  0.0000
Sr  0.0000  0.0000  0.5000
Sr  0.0008  0.9979  0.2444
Sr  0.3326  0.3364  0.3680
Sr  0.3337  0.3309  0.1439
Sr  0.6663  0.6691  0.8561
Sr  0.6674  0.6636  0.6320
Sr  0.9992  0.0021  0.7556
Ta  0.3327  0.3351  0.8403
Ta  0.3352  0.3305  0.6501
Ta  0.6648  0.6695  0.3499
Ta  0.6673  0.6649  0.1597
O  0.0423  0.5552  0.7461
O  0.0786  0.2734  0.5990
O  0.0809  0.2696  0.8931
O  0.2672  0.6529  0.8926
O  0.2832  0.6354  0.5943
O  0.3487  0.9161  0.1072
O  0.3549  0.9269  0.4023
O  0.4051  0.0408  0.7471
O  0.4460  0.5945  0.2543
O  0.5540  0.4055  0.7457
O  0.5949  0.9592  0.2529
O  0.6451  0.0731  0.5977
O  0.6513  0.0839  0.8928
O  0.7168  0.3646  0.4057
O  0.7328  0.3471  0.1074
O  0.9191  0.7304  0.1069
O  0.9214  0.7266  0.4010
O  0.9577  0.4448  0.2539

---

Diffraction record for EuSi6. The XRD peak list is calculated, not measured: it uses a PBE-relaxed structure and Cu Kα (λ = 1.5418 Å).
No peak broadening, texture or thermal motion is included.

Top 10 peaks for 10 to 90 degrees two-theta, sorted by position:
| Position (°2θ) | Rel. int. |
| --- | --- |
| 15.34 | 31 |
| 17.41 | 26 |
| 22.94 | 72 |
| 23.29 | 24 |
| 31.83 | 100 |
| 33.98 | 65 |
| 35.25 | 27 |
| 35.75 | 62 |
| 40.09 | 34 |
| 54.78 | 35 |

Unit cell a=5.5671 b=5.5671 c=11.5486 alpha=90.00 beta=90.00 gamma=132.34
Element x y z (fractional)
Eu  0.2270  0.7730  0.7500
Eu  0.7730  0.2270  0.2500
Si  0.0563  0.9437  0.1470
Si  0.0563  0.9437  0.3530
Si  0.2528  0.7472  0.0373
Si  0.2528  0.7472  0.4627
Si  0.4779  0.5221  0.1027
Si  0.4779  0.5221  0.3973
Si  0.5221  0.4779  0.6027
Si  0.5221  0.4779  0.8973
Si  0.7472  0.2528  0.5373
Si  0.7472  0.2528  0.9627
Si  0.9437  0.0563  0.6470
Si  0.9437  0.0563  0.8530

---

Diffraction record for Li2BiP2O8. The XRD peak list is calculated, not measured: it uses a PBE-relaxed structure and Cu Kα (λ = 1.5418 Å).
No peak broadening, texture or thermal motion is included.

Top 10 peaks for 10 to 90 degrees two-theta, sorted by position:
| Position (°2θ) | Rel. int. |
| --- | --- |
| 11.24 | 77 |
| 20.67 | 42 |
| 23.59 | 100 |
| 30.80 | 46 |
| 36.23 | 25 |
| 38.03 | 28 |
| 42.10 | 19 |
| 43.67 | 18 |
| 56.71 | 20 |
| 57.98 | 16 |

Unit cell a=8.5934 b=8.5934 c=7.8749 alpha=90.00 beta=90.00 gamma=120.00
Element x y z (fractional)
Li  0.0000  0.0000  0.0000
Li  0.9998  0.3552  0.8629
Li  0.3333  0.6667  0.1142
Li  0.3554  0.0002  0.8629
Li  0.6448  0.6446  0.8629
Li  0.6667  0.3333  0.0341
Bi  0.0000  0.0000  0.4343
Bi  0.3333  0.6667  0.4981
Bi  0.6667  0.3333  0.5590
P  0.0190  0.7114  0.7404
P  0.2886  0.3077  0.7404
P  0.3648  0.0177  0.2501
P  0.6530  0.6352  0.2501
P  0.6923  0.9810  0.7404
P  0.9823  0.3470  0.2501
O  0.0699  0.8184  0.5652
O  0.0879  0.8442  0.8872
O  0.1100  0.5934  0.7262
O  0.1558  0.2437  0.8872
O  0.1816  0.2515  0.5652
O  0.1882  0.4647  0.2615
O  0.2177  0.0754  0.2535
O  0.2765  0.8118  0.2615
O  0.4066  0.5166  0.7262
O  0.4203  0.2306  0.7505
O  0.4659  0.0934  0.0841
O  0.4834  0.8900  0.7262
O  0.4894  0.0897  0.4095
O  0.5353  0.7235  0.2615
O  0.6003  0.5106  0.4095
O  0.6274  0.5341  0.0841
O  0.7485  0.9301  0.5652
O  0.7563  0.9121  0.8872
O  0.7694  0.1897  0.7505
O  0.8103  0.5797  0.7505
O  0.8578  0.7823  0.2535
O  0.9066  0.3726  0.0841
O  0.9103  0.3997  0.4095
O  0.9246  0.1422  0.2535